# Ta4Si2C
Calculated X-ray powder pattern, Cu Kα (λ = 1.5418 Å). Input: a PBE-relaxed structure.
Neutral-atom scattering factors, no anomalous dispersion.

Top 10 peaks for 2θ from 10° to 80°, by intensity:
d [Å], Rel. int.
2.280, 100
2.500, 88
2.684, 81
2.302, 76
5.617, 56
2.363, 54
2.228, 29
1.317, 26
2.170, 23
1.606, 22

Structural model:
```
Ta4Si2C
1.0
6.8634 0.0000 0.0000
0.0000 9.7729 0.0000
0.0000 0.0000 3.2117
Ta Si C
8 4 2
direct
0.1353 0.2013 0.0000
0.1909 0.9265 0.5000
0.3091 0.4265 0.5000
0.3647 0.7013 0.0000
0.6353 0.2987 0.0000
0.6909 0.5735 0.5000
0.8091 0.0735 0.5000
0.8647 0.7987 0.0000
0.0700 0.6404 0.5000
0.4300 0.1404 0.5000
0.5700 0.8596 0.5000
0.9300 0.3596 0.5000
0.0000 0.0000 0.0000
0.5000 0.5000 0.0000
```

# TbSiC
Calculated X-ray powder pattern, Cu Kα (λ = 1.5418 Å). Input: a PBE-relaxed structure.
Neutral-atom scattering factors, no anomalous dispersion.

Top 10 peaks for 2θ from 10° to 80°, by intensity:
d [Å], Rel. int.
3.035, 100
8.414, 82
2.552, 54
2.461, 39
1.551, 28
1.888, 19
1.623, 19
1.804, 19
2.442, 17
1.455, 16

Structural model:
```
TbSiC
1.0
-1.8044 1.8044 8.4142
1.8044 -1.8044 8.4142
1.8044 1.8044 -8.4142
Tb Si C
2 2 2
direct
0.1761 0.1761 0.0000
0.8239 0.8239 0.0000
0.4279 0.4279 0.0000
0.5721 0.5721 0.0000
0.3200 0.3200 0.0000
0.6800 0.6800 0.0000
```

# Tb5Si2C
Calculated X-ray powder pattern, Cu Kα (λ = 1.5418 Å). Input: a PBE-relaxed structure.
Neutral-atom scattering factors, no anomalous dispersion.

Top 10 peaks for 2θ from 10° to 80°, by intensity:
d [Å], Rel. int.
3.289, 100
3.267, 81
2.779, 69
2.482, 62
1.851, 51
3.168, 46
3.250, 26
3.524, 22
2.304, 22
1.994, 21

Structural model:
```
Tb5Si2C
1.0
2.7790 -6.0567 0.0000
2.7790 6.0567 0.0000
0.0000 0.0000 12.9980
Tb Si C
10 4 2
direct
0.0550 0.9450 0.6237
0.0550 0.9450 0.8763
0.2982 0.7018 0.2500
0.3365 0.6635 0.6052
0.3365 0.6635 0.8948
0.6635 0.3365 0.1052
0.6635 0.3365 0.3948
0.7018 0.2982 0.7500
0.9450 0.0550 0.1237
0.9450 0.0550 0.3763
0.1746 0.8254 0.0660
0.1746 0.8254 0.4340
0.8254 0.1746 0.5660
0.8254 0.1746 0.9340
0.2010 0.7990 0.7500
0.7990 0.2010 0.2500
```

# Th8Si3Te4C
Calculated X-ray powder pattern, Cu Kα (λ = 1.5418 Å). Input: a PBE-relaxed structure.
Neutral-atom scattering factors, no anomalous dispersion.

Top 10 peaks for 2θ from 10° to 80°, by intensity:
d [Å], Rel. int.
3.058, 100
2.116, 38
3.480, 35
2.211, 28
2.826, 25
1.605, 18
1.740, 18
1.344, 15
2.464, 12
1.547, 12

Structural model:
```
Th8Si3Te4C
1.0
4.2328 2.4438 7.3919
-4.2328 2.4438 7.3919
0.0000 -4.8876 7.3919
Th Si Te C
8 3 4 1
direct
0.2374 0.2374 0.2374
0.2582 0.7207 0.7207
0.2793 0.2793 0.7418
0.2793 0.7418 0.2793
0.7207 0.2582 0.7207
0.7207 0.7207 0.2582
0.7418 0.2793 0.2793
0.7626 0.7626 0.7626
0.0000 0.0000 0.5000
0.0000 0.5000 0.0000
0.5000 0.0000 0.0000
0.0000 0.0000 0.0000
0.0000 0.5000 0.5000
0.5000 0.0000 0.5000
0.5000 0.5000 0.0000
0.5000 0.5000 0.5000
```

# ThU2SiC4
Calculated X-ray powder pattern, Cu Kα (λ = 1.5418 Å). Input: a PBE-relaxed structure.
Neutral-atom scattering factors, no anomalous dispersion.

Top 10 peaks for 2θ from 10° to 80°, by intensity:
d [Å], Rel. int.
3.217, 100
2.930, 95
2.871, 49
2.376, 49
2.539, 38
1.920, 34
1.736, 29
3.254, 28
1.553, 25
1.830, 25

Structural model:
```
ThU2SiC4
1.0
1.7737 -5.7413 0.0000
1.7737 5.7413 0.0000
0.0000 0.0000 11.6523
Th U Si C
2 4 2 8
direct
0.1019 0.8981 0.7500
0.8981 0.1019 0.2500
0.3693 0.6307 0.5504
0.3693 0.6307 0.9496
0.6307 0.3693 0.0504
0.6307 0.3693 0.4496
0.1642 0.8358 0.2500
0.8358 0.1642 0.7500
0.0000 0.0000 0.0000
0.0000 0.0000 0.5000
0.2664 0.7336 0.1247
0.2664 0.7336 0.3753
0.4240 0.5760 0.7500
0.5760 0.4240 0.2500
0.7336 0.2664 0.6247
0.7336 0.2664 0.8753
```

# Ti6Si2C
Calculated X-ray powder pattern, Cu Kα (λ = 1.5418 Å). Input: a PBE-relaxed structure.
Neutral-atom scattering factors, no anomalous dispersion.

Top 10 peaks for 2θ from 10° to 80°, by intensity:
d [Å], Rel. int.
2.601, 100
2.423, 34
1.609, 29
3.832, 26
2.000, 25
2.709, 24
1.916, 20
1.542, 12
1.771, 10
1.314, 10

Structural model:
```
Ti6Si2C
1.0
5.4188 0.0000 0.0000
0.0000 5.4188 0.0000
0.0000 0.0000 10.6242
Ti Si C
12 4 2
direct
0.1879 0.1879 0.1431
0.1879 0.1879 0.8569
0.2221 0.2221 0.5000
0.2779 0.7221 0.0000
0.3121 0.6879 0.3569
0.3121 0.6879 0.6431
0.6879 0.3121 0.3569
0.6879 0.3121 0.6431
0.7221 0.2779 0.0000
0.7779 0.7779 0.5000
0.8121 0.8121 0.1431
0.8121 0.8121 0.8569
0.0000 0.0000 0.3312
0.0000 0.0000 0.6688
0.5000 0.5000 0.1688
0.5000 0.5000 0.8312
0.0000 0.0000 0.0000
0.5000 0.5000 0.5000
```